Diffraction record for Mn2V4O9. The X-ray powder pattern is simulated, not measured: it uses a structure optimized by DFT (GGA+U) and copper Kα.

Peak list (12 most intense, 10 to 90 degrees two-theta, sorted by position)
2θ = 23.4°, d 3.798, intensity 36; 2θ = 23.6°, d 3.769, intensity 18; 2θ = 32.0°, d 2.793, intensity 46; 2θ = 32.2°, d 2.776, intensity 86; 2θ = 34.7°, d 2.586, intensity 100; 2θ = 39.6°, d 2.274, intensity 22; 2θ = 47.9°, d 1.899, intensity 36; 2θ = 48.3°, d 1.884, intensity 17; 2θ = 52.2°, d 1.752, intensity 28; 2θ = 52.4°, d 1.747, intensity 28; 2θ = 52.7°, d 1.738, intensity 27; 2θ = 62.1°, d 1.494, intensity 32

Structural model:
```
Mn2V4O9
1.0
4.4739 -2.5900 0.0000
4.4739 2.5900 0.0000
-0.1317 0.0000 14.1966
Mn V O
4 8 18
direct
0.0007 0.0046 0.3535 Mn
0.0046 0.0007 0.8535 Mn
0.9954 0.9993 0.1465 Mn
0.9993 0.9954 0.6465 Mn
0.3271 0.3392 0.0166 V
0.3324 0.3397 0.3121 V
0.3392 0.3271 0.5165 V
0.3397 0.3324 0.8121 V
0.6603 0.6676 0.1879 V
0.6608 0.6729 0.4834 V
0.6676 0.6603 0.6879 V
0.6729 0.6608 0.9834 V
0.0037 0.6774 0.2519 O
0.0297 0.6157 0.9205 O
0.0373 0.3568 0.4216 O
0.3162 0.6838 0.7500 O
0.3226 0.9963 0.2481 O
0.3568 0.0373 0.9216 O
0.3641 0.6307 0.4213 O
0.3693 0.6359 0.0787 O
0.3843 0.9703 0.5795 O
0.6157 0.0297 0.4205 O
0.6307 0.3641 0.9213 O
0.6359 0.3693 0.5787 O
0.6432 0.9627 0.0784 O
0.6774 0.0037 0.7519 O
0.6838 0.3162 0.2500 O
0.9627 0.6432 0.5784 O
0.9703 0.3843 0.0795 O
0.9963 0.3226 0.7481 O
```